This entry pairs a crystal structure of SrCrWO6 with its theoretical powder diffraction line list. Radiation: Cu Ka. Structure: a GGA+U-relaxed structure.
Kinematic intensities with the Lorentz-polarization factor, no thermal factor.

Cell lengths 4.9510, 4.9510, 9.6196 Å; angles 90.00, 90.00, 90.00 degrees
Space group P4_2nm (No. 102)
Symmetry-distinct sites (fractional):
Sr (0.0000, 0.0000, 0.0000)
Cr (0.0000, 0.0000, 0.3288)
W (0.0000, 0.0000, 0.6587)
O (0.1663, 0.1663, 0.4959)
O (0.2232, 0.2232, 0.7921)
O (0.2305, 0.2305, 0.1928)

Most intense lines, 15 to 90 degrees two-theta, sorted by position:
2θ 18.45, I 15
2θ 20.17, I 41
2θ 25.44, I 100
2θ 31.61, I 14
2θ 33.29, I 79
2θ 36.29, I 21
2θ 50.06, I 63
2θ 52.26, I 18
2θ 59.00, I 16
2θ 63.39, I 18